Starting from a PBE-relaxed structure, the powder X-ray diffraction pattern of LuScIr2 was calculated for Cu Kα (weighted mean of Kα1 and Kα2).
No peak broadening, texture or thermal motion is included.

Largest 10 diffraction maxima, in order of rising 2θ, 2θ from 10° to 80°:
| 2theta | I/Imax | (hkl) |
| --- | --- | --- |
| 23.4 | 11.0 | 1 1 1 |
| 27.1 | 9.0 | 2 0 0 |
| 38.6 | 100.0 | 2 2 0 |
| 45.6 | 6.0 | 3 1 1 |
| 47.8 | 2.7 | 2 2 2 |
| 55.8 | 17.3 | 4 0 0 |
| 61.3 | 2.6 | 3 3 1 |
| 63.1 | 3.7 | 4 2 0 |
| 69.9 | 35.2 | 4 2 2 |
| 74.8 | 2.0 | 5 1 1 |

Atomic structure:
Unit cell a=6.593 b=6.593 c=6.593 alpha=90.00 beta=90.00 gamma=90.00
Positions (direct):
Lu (0.000, 0.000, 0.000)
Lu (0.000, 0.500, 0.500)
Lu (0.500, 0.000, 0.500)
Lu (0.500, 0.500, 0.000)
Sc (0.000, 0.000, 0.500)
Sc (0.000, 0.500, 0.000)
Sc (0.500, 0.000, 0.000)
Sc (0.500, 0.500, 0.500)
Ir (0.250, 0.250, 0.250)
Ir (0.250, 0.250, 0.750)
Ir (0.250, 0.750, 0.250)
Ir (0.250, 0.750, 0.750)
Ir (0.750, 0.250, 0.250)
Ir (0.750, 0.250, 0.750)
Ir (0.750, 0.750, 0.250)
Ir (0.750, 0.750, 0.750)

=====

Starting from a PBE-relaxed structure, the powder X-ray diffraction pattern of CuBH4ClO4 was calculated for Cu Kα (weighted mean of Kα1 and Kα2).
No peak broadening, texture or thermal motion is included.

Largest 10 diffraction maxima, in order of rising 2θ, 2θ from 10° to 80°:
| 2theta | I/Imax | (hkl) |
| --- | --- | --- |
| 15.3 | 82.8 | 0 0 1 |
| 20.3 | 60.5 | 1 1 0 |
| 21.0 | 24.0 | 1 0 1 |
| 28.9 | 73.2 | 2 0 0 |
| 34.3 | 100.0 | 1 0 2 |
| 45.4 | 35.3 | 2 1 2 |
| 46.4 | 41.5 | 3 1 0 |
| 54.7 | 34.0 | 3 0 2 |
| 63.0 | 25.5 | 2 3 2 |
| 70.7 | 13.8 | 4 1 2 |

Atomic structure:
Unit cell a=6.188 b=6.188 c=5.776 alpha=90.00 beta=90.00 gamma=90.00
Positions (direct):
Cu (0.250, 0.250, 0.117)
Cu (0.750, 0.750, 0.883)
B (0.250, 0.750, 0.000)
B (0.750, 0.250, 0.000)
H (0.074, 0.596, 0.250)
H (0.096, 0.926, 0.750)
H (0.404, 0.574, 0.750)
H (0.426, 0.904, 0.250)
H (0.574, 0.096, 0.750)
H (0.596, 0.426, 0.250)
H (0.904, 0.074, 0.250)
H (0.926, 0.404, 0.750)
Cl (0.250, 0.250, 0.650)
Cl (0.750, 0.750, 0.350)
O (0.064, 0.799, 0.848)
O (0.201, 0.564, 0.152)
O (0.299, 0.936, 0.152)
O (0.436, 0.701, 0.848)
O (0.564, 0.299, 0.152)
O (0.701, 0.064, 0.848)
O (0.799, 0.436, 0.848)
O (0.936, 0.201, 0.152)

=====

Starting from a PBE-relaxed structure, the powder X-ray diffraction pattern of Rb3Pu was calculated for Cu Kα (weighted mean of Kα1 and Kα2).
No peak broadening, texture or thermal motion is included.

Largest 10 diffraction maxima, in order of rising 2θ, 2θ from 10° to 80°:
| 2theta | I/Imax | (hkl) |
| --- | --- | --- |
| 14.1 | 26.8 | 1 0 1 |
| 23.6 | 100.0 | 0 2 1 |
| 27.1 | 23.7 | 0 0 3 |
| 28.4 | 63.2 | 2 0 2 |
| 38.2 | 28.6 | 2 2 0 |
| 42.8 | 20.7 | 0 2 4 |
| 45.4 | 17.5 | 4 0 1 |
| 47.5 | 30.8 | 2 2 3 |
| 48.3 | 14.6 | 0 4 2 |
| 60.8 | 14.8 | 2 4 1 |

Atomic structure:
Unit cell a=9.421 b=9.421 c=9.874 alpha=90.00 beta=90.00 gamma=120.00
Positions (direct):
Rb (0.000, 0.500, 0.000)
Rb (0.167, 0.333, 0.333)
Rb (0.167, 0.833, 0.333)
Rb (0.333, 0.167, 0.667)
Rb (0.500, 0.000, 0.000)
Rb (0.500, 0.500, 0.000)
Rb (0.667, 0.833, 0.333)
Rb (0.833, 0.167, 0.667)
Rb (0.833, 0.667, 0.667)
Pu (0.000, 0.000, 0.000)
Pu (0.333, 0.667, 0.667)
Pu (0.667, 0.333, 0.333)